No. 1
Calculated PXRD pattern of Tl4O3 for Cu Kα X-rays, from the GGA-PBE geometry in Alexandria.
Neutral-atom scattering factors, no anomalous dispersion.

Principal peaks in the range 2θ = 15–90°, by angle:
27.3 deg, I = 429; 27.9 deg, I = 402; 30.2 deg, I = 769; 33.5 deg, I = 1000; 42.2 deg, I = 108; 47.7 deg, I = 227; 48.5 deg, I = 167; 51.4 deg, I = 134; 59.2 deg, I = 117; 62.7 deg, I = 103

Structure:
a = 8.104 Å, b = 3.556 Å, c = 11.367 Å
α = 90.00°, β = 109.59°, γ = 90.00°
Positions (direct):
Tl 0.064 0.250 0.391
Tl 0.200 0.750 0.167
Tl 0.258 0.250 0.869
Tl 0.403 0.750 0.622
Tl 0.597 0.250 0.378
Tl 0.742 0.750 0.131
Tl 0.800 0.250 0.833
Tl 0.936 0.750 0.609
O 0.023 0.750 0.820
O 0.140 0.250 0.607
O 0.250 0.750 0.399
O 0.750 0.250 0.601
O 0.860 0.750 0.393
O 0.977 0.250 0.180



No. 2
Calculated PXRD pattern of TlO4 for Cu Kα X-rays, from the GGA-PBE geometry in Alexandria.
Neutral-atom scattering factors, no anomalous dispersion.

Principal peaks in the range 2θ = 15–90°, by angle:
15.8 deg, I = 1000; 22.2 deg, I = 435; 22.3 deg, I = 378; 23.3 deg, I = 351; 24.1 deg, I = 362; 30.6 deg, I = 889; 31.7 deg, I = 268; 31.9 deg, I = 638; 33.7 deg, I = 235; 34.2 deg, I = 198

Structure:
a = 4.273 Å, b = 6.223 Å, c = 7.992 Å
α = 74.05°, β = 89.99°, γ = 70.41°
Positions (direct):
Tl 0.000 0.000 0.000
Tl 0.050 0.894 0.520
O 0.208 0.288 0.245
O 0.222 0.262 0.656
O 0.504 0.288 0.245
O 0.522 0.260 0.656
O 0.606 0.783 0.196
O 0.615 0.764 0.817
O 0.623 0.747 0.367
O 0.726 0.542 0.901



No. 3
Calculated PXRD pattern of Tl5O for Cu Kα X-rays, from the GGA-PBE geometry in Alexandria.
Neutral-atom scattering factors, no anomalous dispersion.

Principal peaks in the range 2θ = 15–90°, by angle:
25.2 deg, I = 126; 30.0 deg, I = 144; 30.6 deg, I = 471; 33.8 deg, I = 1000; 43.4 deg, I = 132; 53.5 deg, I = 123; 56.5 deg, I = 237; 62.7 deg, I = 115; 62.9 deg, I = 153; 64.6 deg, I = 135

Structure:
a = 9.060 Å, b = 9.060 Å, c = 5.843 Å
α = 90.00°, β = 90.00°, γ = 158.11°
Positions (direct):
Tl 0.000 0.000 0.000
Tl 0.101 0.899 0.500
Tl 0.330 0.670 0.000
Tl 0.670 0.330 0.000
Tl 0.899 0.101 0.500
O 0.500 0.500 0.500